The following is a calculated XRD peak list of Na2CdCuP2. It was derived from a crystal structure in Alexandria, relaxed with GGA-PBE, using Cu Kα (weighted mean of Kα1 and Kα2).

Main lines, low angle first (2θ = 10–90°):
12.59°, rel. 100; 25.34°, rel. 10; 33.14°, rel. 29; 33.55°, rel. 36; 38.42°, rel. 9; 40.08°, rel. 26; 40.43°, rel. 24; 44.04°, rel. 26; 45.98°, rel. 15; 59.84°, rel. 9

Cell and atoms:
```
data_Na2CdCuP2
_space_group_name_H-M_alt 'I b a m'
_space_group_IT_number 72
_space_group_name_Hall '-I 2 2c'
_cell_length_a 5.776
_cell_length_b 14.057
_cell_length_c 5.857
_cell_angle_alpha 90.00
_cell_angle_beta 90.00
_cell_angle_gamma 90.00
loop_
_atom_site_label
_atom_site_fract_x
_atom_site_fract_y
_atom_site_fract_z
_atom_site_occupancy
Na1 0.242 0.180 0.000 1
Cd1 0.000 0.000 0.250 1
Cu1 0.000 0.500 0.250 1
P1 0.215 0.392 0.000 1
```

The following is a calculated XRD peak list of Nd2CdCu3. It was derived from a crystal structure in Alexandria, relaxed with GGA-PBE, using Cu Kα (weighted mean of Kα1 and Kα2).

Main lines, low angle first (2θ = 10–90°):
27.47°, rel. 34; 33.51°, rel. 100; 35.00°, rel. 61; 44.16°, rel. 33; 45.45°, rel. 38; 53.96°, rel. 10; 58.61°, rel. 27; 65.25°, rel. 19; 66.24°, rel. 12; 76.25°, rel. 9

Cell and atoms:
```
data_Nd2CdCu3
_space_group_name_H-M_alt 'I m m 2'
_space_group_IT_number 44
_cell_length_a 3.988
_cell_length_b 3.994
_cell_length_c 16.734
_cell_angle_alpha 90.00
_cell_angle_beta 90.00
_cell_angle_gamma 90.00
loop_
_space_group_symop_operation_xyz
'x,y,z'
'-x,-y,z'
'-x,y,z'
'x,-y,z'
'x+1/2,y+1/2,z+1/2'
'-x+1/2,-y+1/2,z+1/2'
'-x+1/2,y+1/2,z+1/2'
'x+1/2,-y+1/2,z+1/2'
loop_
_atom_site_label
_atom_site_fract_x
_atom_site_fract_y
_atom_site_fract_z
_atom_site_occupancy
Nd1 0.000 0.000 0.000 1
Nd2 0.000 0.500 0.222 1
Cd1 0.000 0.000 0.396 1
Cu1 0.000 0.000 0.564 1
Cu2 0.000 0.500 0.648 1
Cu3 0.000 0.500 0.795 1
```

The following is a calculated XRD peak list of Nd6CdCu. It was derived from a crystal structure in Alexandria, relaxed with GGA-PBE, using Cu Kα (weighted mean of Kα1 and Kα2).

Main lines, low angle first (2θ = 10–90°):
25.99°, rel. 10; 31.33°, rel. 100; 34.15°, rel. 45; 40.41°, rel. 8; 46.10°, rel. 8; 49.07°, rel. 16; 53.91°, rel. 14; 57.25°, rel. 8; 59.38°, rel. 32; 65.38°, rel. 8

Cell and atoms:
```
data_Nd6CdCu
_space_group_name_H-M_alt 'I 4/m m m'
_space_group_IT_number 139
_space_group_name_Hall '-I 4 2'
_cell_length_a 5.251
_cell_length_b 5.251
_cell_length_c 17.856
_cell_angle_alpha 90.00
_cell_angle_beta 90.00
_cell_angle_gamma 90.00
loop_
_atom_site_label
_atom_site_fract_x
_atom_site_fract_y
_atom_site_fract_z
_atom_site_occupancy
Nd1 0.000 0.000 0.249 1
Nd2 0.000 0.500 0.106 1
Cd1 0.000 0.000 0.000 1
Cu1 0.000 0.000 0.500 1
```